[1]
Calculated powder diffraction line list
Compound: ScAgTeSe
Radiation: Cu Kα (λ = 1.5418 Å)
Structure: a cell relaxed with GGA-PBE
Kinematic intensities with the Lorentz-polarization factor, no thermal factor.

Cell and atoms:
Unit cell a=4.5138 b=4.5138 c=6.4709 alpha=90.00 beta=90.00 gamma=120.00
Space group P3m1 (No. 156)
Unique sites:
1 Sc 0.0000 0.0000 0.0000
2 Ag 0.3333 0.6667 0.2917
3 Te 0.0000 0.0000 0.4337
4 Se 0.3333 0.6667 0.8837

Principal peaks in the range 10° ≤ 2θ ≤ 80°, low angle first:
d_spacing, Position (°2θ), intensity
6.471, 13.68, 39
3.909, 22.75, 100
3.346, 26.64, 42
3.235, 27.57, 33
2.492, 36.03, 91
2.257, 39.95, 88
1.889, 48.18, 41
1.851, 49.22, 39
1.673, 54.88, 26
1.344, 70.00, 24

***

[2]
Calculated powder diffraction line list
Compound: SmScAg4
Radiation: Cu Kα (λ = 1.5418 Å)
Structure: a cell relaxed with GGA-PBE
Kinematic intensities with the Lorentz-polarization factor, no thermal factor.

Cell and atoms:
Unit cell a=5.242 b=9.196 c=5.218 alpha=90.00 beta=90.19 gamma=90.00
Space group C2/m (No. 12)
Unique sites:
1 Sm 0.000 0.000 0.000
2 Sc 0.000 0.500 0.500
3 Ag 0.000 0.175 0.500
4 Ag 0.000 0.335 0.000

Principal peaks in the range 10° ≤ 2θ ≤ 80°, low angle first:
d_spacing, Position (°2θ), intensity
2.621, 34.21, 34
2.609, 34.38, 34
2.360, 38.13, 100
1.852, 49.20, 12
1.846, 49.37, 12
1.533, 60.40, 6
1.459, 63.81, 10
1.455, 63.97, 21
1.452, 64.13, 10
1.322, 71.33, 14

***

[3]
Calculated powder diffraction line list
Compound: Sm3ScAg4
Radiation: Cu Kα (λ = 1.5418 Å)
Structure: a cell relaxed with GGA-PBE
Kinematic intensities with the Lorentz-polarization factor, no thermal factor.

Cell and atoms:
Unit cell a=3.624 b=3.624 c=14.726 alpha=90.00 beta=90.00 gamma=90.00
Space group P4/mmm (No. 123)
Unique sites:
1 Sm 0.000 0.000 0.000
2 Sm 0.000 0.000 0.259
3 Sc 0.000 0.000 0.500
4 Ag 0.500 0.500 0.129
5 Ag 0.500 0.500 0.395

Principal peaks in the range 10° ≤ 2θ ≤ 80°, low angle first:
d_spacing, Position (°2θ), intensity
2.916, 30.66, 9
2.583, 34.73, 100
2.563, 35.01, 53
1.841, 49.52, 7
1.812, 50.36, 18
1.626, 56.61, 5
1.495, 62.08, 14
1.483, 62.63, 35
1.291, 73.31, 9
1.281, 73.98, 6

***

[4]
Calculated powder diffraction line list
Compound: SmSc2Ag2
Radiation: Cu Kα (λ = 1.5418 Å)
Structure: a cell relaxed with GGA-PBE
Kinematic intensities with the Lorentz-polarization factor, no thermal factor.

Cell and atoms:
Unit cell a=3.481 b=5.132 c=13.111 alpha=90.00 beta=97.61 gamma=90.00
Space group P2_1/m (No. 11)
Unique sites:
1 Sm 0.146 0.250 0.291
2 Sc 0.048 0.750 0.095
3 Sc 0.236 0.750 0.472
4 Ag 0.356 0.250 0.713
5 Ag 0.459 0.750 0.918

Principal peaks in the range 10° ≤ 2θ ≤ 80°, low angle first:
d_spacing, Position (°2θ), intensity
6.498, 13.63, 15
2.863, 31.24, 10
2.599, 34.51, 23
2.566, 34.96, 28
2.520, 35.63, 100
1.826, 49.94, 20
1.485, 62.56, 12
1.473, 63.14, 18
1.440, 64.72, 9
1.260, 75.46, 9

***

[5]
Calculated powder diffraction line list
Compound: Sm3Sc2Ag2
Radiation: Cu Kα (λ = 1.5418 Å)
Structure: a cell relaxed with GGA-PBE
Kinematic intensities with the Lorentz-polarization factor, no thermal factor.

Cell and atoms:
Unit cell a=4.828 b=22.079 c=3.424 alpha=90.00 beta=90.00 gamma=90.00
Space group Cmmm (No. 65)
Unique sites:
1 Sm 0.000 0.000 0.000
2 Sm 0.000 0.149 0.000
3 Sc 0.000 0.287 0.500
4 Ag 0.000 0.426 0.500

Principal peaks in the range 10° ≤ 2θ ≤ 80°, low angle first:
d_spacing, Position (°2θ), intensity
2.771, 32.31, 100
2.641, 33.95, 82
2.507, 35.83, 47
2.414, 37.25, 33
2.149, 42.05, 17
1.739, 52.64, 31
1.605, 57.41, 14
1.453, 64.07, 13
1.451, 64.18, 19
1.436, 64.92, 24

***

[6]
Calculated powder diffraction line list
Compound: Sc2Ag3Sn3
Radiation: Cu Kα (λ = 1.5418 Å)
Structure: a cell relaxed with GGA-PBE
Kinematic intensities with the Lorentz-polarization factor, no thermal factor.

Cell and atoms:
Unit cell a=4.402 b=4.599 c=8.322 alpha=90.00 beta=90.00 gamma=90.00
Space group Pmmm (No. 47)
Unique sites:
1 Sc 0.000 0.000 0.248
2 Ag 0.000 0.500 0.500
3 Ag 0.500 0.500 0.262
4 Sn 0.000 0.500 0.000
5 Sn 0.500 0.000 0.000
6 Sn 0.500 0.000 0.500

Principal peaks in the range 10° ≤ 2θ ≤ 80°, low angle first:
d_spacing, Position (°2θ), intensity
2.527, 35.53, 100
2.299, 39.18, 19
2.201, 41.00, 17
2.080, 43.50, 14
1.590, 58.01, 12
1.543, 59.96, 10
1.367, 68.64, 14
1.325, 71.15, 13
1.271, 74.66, 11
1.263, 75.21, 11